(1)
This entry pairs a crystal structure of MnCo with its calculated PXRD pattern. Radiation: λ = 1.5418 Å (Cu Kα). Structure: DFT lattice parameters and positions (GGA-PBE).

Top 2 peaks for 5° ≤ 2θ ≤ 70°, sorted by position:
44.92°, intensity 100.0
65.41°, intensity 14.7

Structural model:
Lattice parameters (Å, degrees): 2.8536 2.8536 2.8536 90.00 90.00 90.00
Positions (direct):
Mn  0.0000  0.0000  0.0000
Co  0.5000  0.5000  0.5000

(2)
This entry pairs a crystal structure of MnCo2N2 with its calculated PXRD pattern. Radiation: λ = 1.5418 Å (Cu Kα). Structure: DFT lattice parameters and positions (GGA-PBE).

Top 6 peaks for 5° ≤ 2θ ≤ 70°, sorted by position:
39.44°, intensity 83.3
39.73°, intensity 94.4
45.37°, intensity 100.0
47.33°, intensity 47.2
66.51°, intensity 15.5
67.65°, intensity 50.8

Structural model:
Lattice parameters (Å, degrees): 2.8117 11.5248 2.8422 90.00 90.00 90.00
Positions (direct):
Mn  0.2500  0.2500  0.1672
Mn  0.7500  0.7500  0.8328
Co  0.2500  0.5884  0.2878
Co  0.2500  0.9116  0.2878
Co  0.7500  0.0884  0.7122
Co  0.7500  0.4116  0.7122
N  0.2500  0.0899  0.2462
N  0.2500  0.4101  0.2462
N  0.7500  0.5899  0.7538
N  0.7500  0.9101  0.7538